[1]
Starting from a cell relaxed with GGA-PBE, the powder X-ray diffraction pattern of Sm14HoSc was simulated for Cu Kα X-rays.
Lines closer than 0.1° are merged.

The 12 most intense peaks (2θ from 10° to 80°), in order of falling intensity:
- 30.4 deg, I 100
- 35.2 deg, I 34
- 60.2 deg, I 29
- 50.8 deg, I 24
- 35.4 deg, I 17
- 60.4 deg, I 14
- 63.3 deg, I 12
- 50.6 deg, I 12
- 74.4 deg, I 4
- 74.8 deg, I 2
- 15.1 deg, I 1
- 29.1 deg, I 1

a = 7.2096 Å, b = 7.2096 Å, c = 10.1521 Å
α = 90.00°, β = 90.00°, γ = 90.00°
Fractional positions:
Sm (0.0000, 0.0000, 0.0000)
Sm (0.0000, 0.5000, 0.0000)
Sm (0.0000, 0.5000, 0.5000)
Sm (0.2482, 0.2482, 0.2539)
Sm (0.2482, 0.2482, 0.7461)
Sm (0.2482, 0.7518, 0.2539)
Sm (0.2482, 0.7518, 0.7461)
Sm (0.5000, 0.0000, 0.0000)
Sm (0.5000, 0.0000, 0.5000)
Sm (0.5000, 0.5000, 0.0000)
Sm (0.7518, 0.2482, 0.2539)
Sm (0.7518, 0.2482, 0.7461)
Sm (0.7518, 0.7518, 0.2539)
Sm (0.7518, 0.7518, 0.7461)
Ho (0.5000, 0.5000, 0.5000)
Sc (0.0000, 0.0000, 0.5000)

[2]
Starting from a cell relaxed with GGA-PBE, the powder X-ray diffraction pattern of Sm3Ho6Sc was simulated for Cu Kα X-rays.
Lines closer than 0.1° are merged.

The 12 most intense peaks (2θ from 10° to 80°), in order of falling intensity:
- 31.8 deg, I 100
- 31.6 deg, I 80
- 29.2 deg, I 50
- 32.4 deg, I 47
- 34.4 deg, I 46
- 30.8 deg, I 41
- 56.1 deg, I 37
- 28.7 deg, I 27
- 29.0 deg, I 25
- 32.1 deg, I 25
- 34.1 deg, I 24
- 51.1 deg, I 22

a = 6.5563 Å, b = 6.5563 Å, c = 9.5310 Å
α = 110.70°, β = 110.70°, γ = 59.60°
Fractional positions:
Sm (0.0000, 0.0000, 0.0000)
Sm (0.0687, 0.0687, 0.6957)
Sm (0.9313, 0.9313, 0.3043)
Ho (0.0659, 0.5603, 0.6879)
Ho (0.3618, 0.3618, 0.0794)
Ho (0.4397, 0.9341, 0.3121)
Ho (0.5603, 0.0659, 0.6879)
Ho (0.6382, 0.6382, 0.9206)
Ho (0.9341, 0.4397, 0.3121)
Sc (0.5000, 0.5000, 0.5000)

[3]
Starting from a cell relaxed with GGA-PBE, the powder X-ray diffraction pattern of Sm4Ho2Sc was simulated for Cu Kα X-rays.
Lines closer than 0.1° are merged.

The 12 most intense peaks (2θ from 10° to 80°), in order of falling intensity:
- 30.8 deg, I 100
- 32.0 deg, I 61
- 32.7 deg, I 42
- 31.3 deg, I 40
- 32.9 deg, I 32
- 37.7 deg, I 23
- 51.4 deg, I 20
- 56.3 deg, I 18
- 61.9 deg, I 14
- 60.8 deg, I 13
- 45.3 deg, I 13
- 29.0 deg, I 12

a = 12.3240 Å, b = 6.6917 Å, c = 13.2828 Å
α = 67.05°, β = 30.00°, γ = 82.96°
Fractional positions:
Sm (0.1439, 0.2871, 0.0698)
Sm (0.1802, 0.7508, 0.1061)
Sm (0.2871, 0.1439, 0.4992)
Sm (0.3786, 0.6214, 0.4827)
Sm (0.6214, 0.3786, 0.5173)
Sm (0.7327, 0.7673, 0.6286)
Sm (0.7508, 0.1802, 0.9629)
Sm (0.7673, 0.7327, 0.8714)
Ho (0.2049, 0.6848, 0.3638)
Ho (0.5035, 0.8862, 0.5652)
Ho (0.6848, 0.2049, 0.7465)
Ho (0.8862, 0.5035, 0.0451)
Sc (0.0036, 0.0036, 0.9964)
Sc (0.2536, 0.2536, 0.2464)

[4]
Starting from a cell relaxed with GGA-PBE, the powder X-ray diffraction pattern of Sm3Ho8Sc was simulated for Cu Kα X-rays.
Lines closer than 0.1° are merged.

The 12 most intense peaks (2θ from 10° to 80°), in order of falling intensity:
- 36.5 deg, I 100
- 24.3 deg, I 91
- 26.0 deg, I 87
- 29.2 deg, I 80
- 33.3 deg, I 76
- 31.8 deg, I 69
- 44.8 deg, I 60
- 43.7 deg, I 44
- 59.7 deg, I 35
- 56.6 deg, I 30
- 38.3 deg, I 28
- 49.8 deg, I 28

a = 8.3199 Å, b = 8.3199 Å, c = 8.3199 Å
α = 117.26°, β = 117.26°, γ = 94.82°
Fractional positions:
Sm (0.0000, 0.0000, 0.0000)
Sm (0.2500, 0.7500, 0.5000)
Sm (0.7500, 0.2500, 0.5000)
Ho (0.1351, 0.1351, 0.7473)
Ho (0.2402, 0.7072, 0.0000)
Ho (0.2928, 0.2928, 0.5329)
Ho (0.3877, 0.3877, 0.2527)
Ho (0.6123, 0.8649, 0.0000)
Ho (0.7072, 0.2402, 0.0000)
Ho (0.7598, 0.7598, 0.4671)
Ho (0.8649, 0.6123, 0.0000)
Sc (0.5000, 0.5000, 0.0000)